(1)
Theoretical powder diffractogram
Compound: LiPaTc2O8
Radiation: copper Kα
Structure: a structure optimized by DFT (PBE)
Kinematic intensities with the Lorentz-polarization factor, no thermal factor.

The 10 most intense peaks (10° ≤ 2θ ≤ 90°), most intense first:
| Position (°2θ) | intensity | hkl |
| --- | --- | --- |
| 22.31 | 1000 | 0 1 1 |
| 30.03 | 410 | 1 1 0 |
| 33.39 | 295 | 1 0 2 |
| 48.96 | 244 | 1 2 1 |
| 37.73 | 185 | 2 0 1 |
| 45.52 | 179 | 0 2 2 |
| 53.49 | 173 | 1 1 3 |
| 55.50 | 147 | 2 1 2 |
| 17.21 | 139 | 1 0 0 |
| 67.17 | 93 | 3 1 1 |

Structural model:
a b c (Å): 5.9506 5.9506 6.2850
angles (deg): 90.00 90.00 120.00
Space group P-3m1 (No. 164)
Inequivalent atoms, fractional coordinates:
Li  0.0000  0.0000  0.0000 [1 per cell]
Pa  0.0000  0.0000  0.5000 [1 per cell]
Tc  0.3333  0.6667  0.8293 [2 per cell]
O  0.1626  0.3252  0.7229 [6 per cell]
O  0.3333  0.6667  0.1035 [2 per cell]



(2)
Theoretical powder diffractogram
Compound: LiPaTeO5
Radiation: copper Kα
Structure: a structure optimized by DFT (PBE)
Kinematic intensities with the Lorentz-polarization factor, no thermal factor.

The 10 most intense peaks (10° ≤ 2θ ≤ 90°), most intense first:
| Position (°2θ) | intensity | hkl |
| --- | --- | --- |
| 22.11 | 1000 | 0 1 1 |
| 16.57 | 609 | 1 0 -1 |
| 30.98 | 524 | 1 -2 1 |
| 25.54 | 511 | 1 1 -2 |
| 24.91 | 488 | 1 0 1 |
| 19.37 | 368 | 1 -1 0 |
| 32.94 | 275 | -2 1 1 |
| 33.44 | 253 | 1 2 -1 |
| 51.24 | 236 | 0 0 4 |
| 40.79 | 226 | 2 1 -3 |

Structural model:
a b c (Å): 5.730 6.644 8.121
angles (deg): 106.46 110.20 97.29
Space group P-1 (No. 2)
Inequivalent atoms, fractional coordinates:
Li  0.081  0.424  0.320 [2 per cell]
Pa  0.000  0.000  0.500 [1 per cell]
Pa  0.500  0.500  0.000 [1 per cell]
Te  0.463  0.165  0.245 [2 per cell]
O  0.215  0.723  0.537 [2 per cell]
O  0.251  0.144  0.384 [2 per cell]
O  0.255  0.183  0.764 [2 per cell]
O  0.263  0.671  0.891 [2 per cell]
O  0.339  0.410  0.206 [2 per cell]



(3)
Theoretical powder diffractogram
Compound: Li2PaTeO7
Radiation: copper Kα
Structure: a structure optimized by DFT (PBE)
Kinematic intensities with the Lorentz-polarization factor, no thermal factor.

The 10 most intense peaks (10° ≤ 2θ ≤ 90°), most intense first:
| Position (°2θ) | intensity | hkl |
| --- | --- | --- |
| 23.48 | 1000 | 1 0 1 |
| 28.32 | 737 | 1 0 3 |
| 34.39 | 656 | 1 1 2 |
| 22.16 | 620 | 0 0 4 |
| 47.36 | 345 | 1 1 6 |
| 46.58 | 311 | 2 0 0 |
| 36.25 | 278 | 1 0 5 |
| 67.52 | 258 | 1 1 10 |
| 52.16 | 252 | 2 0 4 |
| 11.03 | 247 | 0 0 2 |

Structural model:
a b c (Å): 3.900 3.900 16.044
angles (deg): 90.00 90.00 90.00
Space group I-4m2 (No. 119)
Inequivalent atoms, fractional coordinates:
Li  0.000  0.000  0.118 [4 per cell]
Pa  0.000  0.000  0.500 [2 per cell]
Te  0.000  0.500  0.750 [2 per cell]
O  0.000  0.000  0.000 [2 per cell]
O  0.000  0.000  0.240 [4 per cell]
O  0.000  0.500  0.068 [4 per cell]
O  0.000  0.500  0.629 [4 per cell]



(4)
Theoretical powder diffractogram
Compound: LiPa2TiO8
Radiation: copper Kα
Structure: a structure optimized by DFT (PBE)
Kinematic intensities with the Lorentz-polarization factor, no thermal factor.

The 10 most intense peaks (10° ≤ 2θ ≤ 90°), most intense first:
| Position (°2θ) | intensity | hkl |
| --- | --- | --- |
| 18.72 | 1000 | 1 0 0 |
| 31.51 | 786 | 0 2 1 |
| 26.37 | 401 | 1 0 -1 |
| 26.81 | 377 | 1 0 1 |
| 37.07 | 317 | 1 2 1 |
| 49.88 | 299 | 1 2 -2 |
| 50.39 | 289 | 1 2 2 |
| 25.12 | 248 | 0 2 0 |
| 46.06 | 223 | 2 2 0 |
| 55.30 | 194 | 2 0 2 |

Structural model:
a b c (Å): 4.740 7.090 4.742
angles (deg): 90.00 90.93 90.00
Space group P2/m (No. 10)
Inequivalent atoms, fractional coordinates:
Li  0.000  0.000  0.000 [1 per cell]
Pa  0.500  0.247  0.500 [2 per cell]
Ti  0.000  0.500  0.000 [1 per cell]
O  0.190  0.285  0.809 [4 per cell]
O  0.296  0.500  0.295 [2 per cell]
O  0.307  0.000  0.306 [2 per cell]



(5)
Theoretical powder diffractogram
Compound: Li2PaTiO6
Radiation: copper Kα
Structure: a structure optimized by DFT (PBE)
Kinematic intensities with the Lorentz-polarization factor, no thermal factor.

The 10 most intense peaks (10° ≤ 2θ ≤ 90°), most intense first:
| Position (°2θ) | intensity | hkl |
| --- | --- | --- |
| 23.06 | 1000 | 0 1 2 |
| 20.37 | 490 | 1 0 1 |
| 31.71 | 428 | 1 0 4 |
| 51.57 | 291 | 1 1 6 |
| 33.94 | 276 | 1 1 0 |
| 38.96 | 271 | 2 -1 3 |
| 18.56 | 204 | 0 0 3 |
| 47.13 | 179 | 0 2 4 |
| 54.59 | 177 | 1 2 2 |
| 41.43 | 172 | 2 0 2 |

Structural model:
a b c (Å): 5.2831 5.2831 14.3402
angles (deg): 90.00 90.00 120.00
Space group R3 (No. 146, hexagonal axes)
Inequivalent atoms, fractional coordinates:
Li  0.0000  0.0000  0.0000 [3 per cell]
Li  0.0000  0.0000  0.4993 [3 per cell]
Pa  0.0000  0.0000  0.7860 [3 per cell]
Ti  0.0000  0.0000  0.2842 [3 per cell]
O  0.0106  0.7125  0.3778 [9 per cell]
O  0.0340  0.3369  0.8842 [9 per cell]



(6)
Theoretical powder diffractogram
Compound: LiPaTlO5
Radiation: copper Kα
Structure: a structure optimized by DFT (PBE)
Kinematic intensities with the Lorentz-polarization factor, no thermal factor.

The 10 most intense peaks (10° ≤ 2θ ≤ 90°), most intense first:
| Position (°2θ) | intensity | hkl |
| --- | --- | --- |
| 31.57 | 1000 | 1 1 2 |
| 24.74 | 785 | 2 0 0 |
| 48.04 | 645 | 1 5 0 |
| 18.06 | 642 | 0 2 0 |
| 22.70 | 423 | 0 2 1 |
| 33.07 | 351 | 1 3 1 |
| 20.52 | 337 | 1 1 1 |
| 30.80 | 301 | 2 2 0 |
| 29.99 | 285 | 1 3 0 |
| 41.13 | 217 | 1 3 2 |

Structural model:
a b c (Å): 7.197 9.822 6.494
angles (deg): 90.00 90.00 90.00
Space group Cmcm (No. 63)
Inequivalent atoms, fractional coordinates:
Li  0.000  0.239  0.250 [4 per cell]
Pa  0.000  0.405  0.750 [4 per cell]
Tl  0.000  0.000  0.000 [4 per cell]
O  0.000  0.166  0.750 [4 per cell]
O  0.000  0.383  0.065 [8 per cell]
O  0.195  0.095  0.250 [8 per cell]



(7)
Theoretical powder diffractogram
Compound: Li2PaTl2O6
Radiation: copper Kα
Structure: a structure optimized by DFT (PBE)
Kinematic intensities with the Lorentz-polarization factor, no thermal factor.

The 10 most intense peaks (10° ≤ 2θ ≤ 90°), most intense first:
| Position (°2θ) | intensity | hkl |
| --- | --- | --- |
| 29.70 | 1000 | 1 1 0 |
| 17.91 | 964 | 1 0 1 |
| 32.96 | 756 | 0 1 5 |
| 28.21 | 511 | 1 0 4 |
| 54.81 | 398 | 1 2 5 |
| 44.95 | 354 | 2 0 5 |
| 60.75 | 341 | 1 0 10 |
| 41.42 | 324 | 0 2 4 |
| 76.96 | 234 | 2 1 10 |
| 52.71 | 212 | 3 0 0 |

Structural model:
a b c (Å): 6.0157 6.0157 15.9285
angles (deg): 90.00 90.00 120.00
Space group R-3m (No. 166, hexagonal axes)
Inequivalent atoms, fractional coordinates:
Li  0.0000  0.0000  0.0815 [6 per cell]
Pa  0.0000  0.0000  0.5000 [3 per cell]
Tl  0.0000  0.0000  0.2895 [6 per cell]
O  0.0214  0.5107  0.2542 [18 per cell]



(8)
Theoretical powder diffractogram
Compound: LiPaTlO6
Radiation: copper Kα
Structure: a structure optimized by DFT (PBE)
Kinematic intensities with the Lorentz-polarization factor, no thermal factor.

The 10 most intense peaks (10° ≤ 2θ ≤ 90°), most intense first:
| Position (°2θ) | intensity | hkl |
| --- | --- | --- |
| 26.35 | 1000 | 1 0 1 |
| 18.83 | 351 | 1 0 0 |
| 32.92 | 301 | 1 1 0 |
| 50.36 | 291 | 2 -1 2 |
| 42.65 | 284 | 2 0 1 |
| 54.91 | 275 | 2 1 1 |
| 75.30 | 110 | 4 -1 1 |
| 58.79 | 106 | 3 0 0 |
| 60.44 | 104 | 1 0 3 |
| 41.83 | 97 | 1 0 2 |

Structural model:
a b c (Å): 5.4409 5.4409 4.8589
angles (deg): 90.00 90.00 120.00
Space group P312 (No. 149)
Inequivalent atoms, fractional coordinates:
Li  0.0000  0.0000  0.0000 [1 per cell]
Pa  0.3333  0.6667  0.5000 [1 per cell]
Tl  0.6667  0.3333  0.0000 [1 per cell]
O  0.0158  0.3377  0.2471 [6 per cell]



(9)
Theoretical powder diffractogram
Compound: Li2Pb2O5
Radiation: copper Kα
Structure: a structure optimized by DFT (PBE)
Kinematic intensities with the Lorentz-polarization factor, no thermal factor.

The 10 most intense peaks (10° ≤ 2θ ≤ 90°), most intense first:
| Position (°2θ) | intensity | hkl |
| --- | --- | --- |
| 23.09 | 1000 | 0 1 1 |
| 33.05 | 877 | 4 1 1 |
| 23.33 | 529 | 4 0 0 |
| 53.67 | 336 | 8 1 1 |
| 59.37 | 289 | 4 3 1 |
| 40.36 | 270 | 4 0 2 |
| 41.06 | 244 | 4 2 0 |
| 53.29 | 218 | 4 2 2 |
| 32.46 | 212 | 0 0 2 |
| 58.29 | 212 | 4 1 3 |

Structural model:
a b c (Å): 15.253 5.381 5.516
angles (deg): 90.00 90.00 90.00
Space group Ima2 (No. 46)
Inequivalent atoms, fractional coordinates:
Li  0.000  0.000  0.000 [4 per cell]
Li  0.250  0.005  0.045 [4 per cell]
Pb  0.125  0.015  0.537 [8 per cell]
O  0.051  0.222  0.259 [8 per cell]
O  0.142  0.646  0.406 [8 per cell]
O  0.250  0.151  0.401 [4 per cell]



(10)
Theoretical powder diffractogram
Compound: Li2Pb2O3
Radiation: copper Kα
Structure: a structure optimized by DFT (PBE)
Kinematic intensities with the Lorentz-polarization factor, no thermal factor.

The 10 most intense peaks (10° ≤ 2θ ≤ 90°), most intense first:
| Position (°2θ) | intensity | hkl |
| --- | --- | --- |
| 23.97 | 1000 | 1 1 0 |
| 19.22 | 652 | 1 0 -2 |
| 24.84 | 543 | 1 1 -2 |
| 22.46 | 394 | 0 0 2 |
| 27.46 | 351 | 0 1 2 |
| 35.01 | 248 | 1 2 -1 |
| 30.05 | 239 | 2 0 -2 |
| 42.24 | 230 | 2 1 -4 |
| 48.71 | 173 | 0 1 4 |
| 38.16 | 172 | 1 0 -4 |

Structural model:
a b c (Å): 5.960 5.681 9.620
angles (deg): 90.00 124.62 90.00
Space group P2_1/c (No. 14)
Inequivalent atoms, fractional coordinates:
Li  0.075  0.138  0.343 [4 per cell]
Pb  0.262  0.682  0.557 [4 per cell]
O  0.000  0.000  0.500 [2 per cell]
O  0.048  0.542  0.669 [4 per cell]



(11)
Theoretical powder diffractogram
Compound: LiPm2PbO5
Radiation: copper Kα
Structure: a structure optimized by DFT (PBE)
Kinematic intensities with the Lorentz-polarization factor, no thermal factor.

The 10 most intense peaks (10° ≤ 2θ ≤ 90°), most intense first:
| Position (°2θ) | intensity | hkl |
| --- | --- | --- |
| 29.84 | 1000 | 2 0 1 |
| 18.54 | 837 | 1 1 0 |
| 44.62 | 619 | 3 1 1 |
| 32.70 | 501 | 2 1 1 |
| 27.78 | 457 | 0 0 2 |
| 40.97 | 427 | 2 1 2 |
| 23.18 | 321 | 1 1 1 |
| 61.23 | 307 | 3 1 3 |
| 33.61 | 263 | 1 1 2 |
| 50.44 | 232 | 2 0 3 |

Structural model:
a b c (Å): 6.769 6.769 6.423
angles (deg): 90.00 90.00 90.00
Space group P4/mbm (No. 127)
Inequivalent atoms, fractional coordinates:
Li  0.000  0.000  0.000 [2 per cell]
Pm  0.175  0.325  0.500 [4 per cell]
Pb  0.000  0.500  0.000 [2 per cell]
O  0.000  0.000  0.500 [2 per cell]
O  0.146  0.646  0.267 [8 per cell]



(12)
Theoretical powder diffractogram
Compound: Li2PtPbO4
Radiation: copper Kα
Structure: a structure optimized by DFT (PBE)
Kinematic intensities with the Lorentz-polarization factor, no thermal factor.

The 10 most intense peaks (10° ≤ 2θ ≤ 90°), most intense first:
| Position (°2θ) | intensity | hkl |
| --- | --- | --- |
| 32.39 | 1000 | 1 1 2 |
| 17.20 | 905 | 0 0 2 |
| 27.23 | 717 | 1 1 0 |
| 42.81 | 445 | 2 0 2 |
| 44.74 | 359 | 1 1 4 |
| 53.16 | 296 | 2 0 4 |
| 66.35 | 265 | 3 1 2 |
| 38.89 | 234 | 2 0 0 |
| 74.51 | 180 | 3 1 4 |
| 60.87 | 171 | 1 1 6 |

Structural model:
a b c (Å): 4.631 4.631 10.313
angles (deg): 90.00 90.00 90.00
Space group I-42m (No. 121)
Inequivalent atoms, fractional coordinates:
Li  0.000  0.500  0.250 [4 per cell]
Pt  0.000  0.000  0.000 [2 per cell]
Pb  0.000  0.000  0.500 [2 per cell]
O  0.193  0.193  0.854 [8 per cell]